Record 1
# Li2VCrO4
Theoretical powder XRD pattern, Cu Kα (weighted mean of Kα1 and Kα2). Input: the GGA+U geometry in the Materials Project.
No peak broadening, texture or thermal motion is included.

Top 10 peaks for 15 to 90 degrees two-theta, most intense first:
Position (°2θ)  d [Å]  Rel. int.
24.05  3.700  100.0
23.91  3.721  96.6
40.70  2.217  62.7
44.19  2.050  52.2
44.51  2.035  51.0
61.62  1.505  29.9
61.88  1.499  29.5
37.15  2.420  28.6
64.52  1.444  27.5
79.14  1.210  26.9

Structure:
```
Li2VCrO4
1.0
4.887 -2.035 0.000
4.887 2.035 0.000
-3.448 0.000 7.439
Li V Cr O
4 2 2 8
Cartesian
0.000 0.000 0.000
-1.687 0.000 3.750
6.780 0.000 0.877
5.204 0.000 4.675
-0.616 0.000 6.500
1.129 0.000 2.787
2.234 0.000 5.560
3.981 0.000 1.837
-2.528 0.000 5.608
-0.738 0.000 1.928
0.371 0.000 4.744
2.160 0.000 0.956
2.947 0.000 3.621
1.296 0.000 7.382
4.082 0.000 6.400
5.824 0.000 2.708
```

---

Record 2
# K2CoO2
Theoretical powder XRD pattern, Cu Kα (weighted mean of Kα1 and Kα2). Input: the GGA+U geometry in the Materials Project.
No peak broadening, texture or thermal motion is included.

Top 10 peaks for 15 to 90 degrees two-theta, most intense first:
Position (°2θ)  d [Å]  Rel. int.
31.88  2.808  100.0
32.03  2.795  43.0
30.09  2.970  38.5
31.56  2.835  34.3
17.77  4.990  32.3
45.77  1.982  27.0
30.41  2.939  26.7
42.95  2.106  23.9
16.94  5.234  16.2
25.33  3.516  16.2

Structure:
```
K2CoO2
1.0
6.636 0.000 0.000
0.000 9.587 0.000
-3.273 0.000 6.247
K Co O
8 4 8
Cartesian
0.966 0.000 0.924
-0.676 6.440 4.056
-1.264 3.085 5.527
0.374 3.355 2.404
4.627 7.879 0.721
2.989 8.148 3.844
4.039 1.646 2.192
2.397 4.794 5.324
-0.116 0.183 4.094
1.520 6.257 0.977
1.843 1.463 5.271
3.479 4.977 2.153
-2.891 7.058 6.125
-1.256 8.968 3.000
0.149 0.656 5.905
1.786 5.784 2.786
1.577 0.991 3.461
3.213 5.450 0.343
6.254 2.264 0.122
4.618 4.174 3.247
```

---

Record 3
# V4O5F7
Theoretical powder XRD pattern, Cu Kα (weighted mean of Kα1 and Kα2). Input: the GGA+U geometry in the Materials Project.
No peak broadening, texture or thermal motion is included.

Top 10 peaks for 15 to 90 degrees two-theta, most intense first:
Position (°2θ)  d [Å]  Rel. int.
23.91  3.722  100.0
23.46  3.793  96.0
23.79  3.740  95.6
53.69  1.707  22.8
47.98  1.896  22.7
33.28  2.692  22.5
48.70  1.870  20.5
48.95  1.861  16.1
54.37  1.687  15.3
39.62  2.275  14.9

Structure:
```
V4O5F7
1.0
5.248 0.000 0.000
-0.101 5.384 0.000
-0.005 -0.250 7.480
V O F
4 5 7
Cartesian
0.000 0.000 0.000
0.321 0.209 3.726
2.489 2.490 7.406
2.843 2.940 3.833
1.259 1.684 0.293
1.614 1.230 3.494
2.310 2.709 5.735
3.828 4.268 4.045
4.189 3.795 7.286
0.661 -0.098 5.646
1.167 3.894 3.394
1.586 4.389 0.427
3.125 2.772 1.867
3.859 1.127 7.145
4.245 1.586 4.173
4.859 0.229 1.902
```